1.
Calculated powder diffraction line list
Compound: Nd2Bi5Pb
Radiation: CuKα
Structure: the PBE geometry in Alexandria
Intensities are scaled so that the largest is 100.

Largest 10 diffraction maxima, sorted by position, 2θ = 15–90°:
Position (°2θ), intensity, (hkl)
31.03, 100, 2 0 2
35.20, 36, 2 2 0
37.52, 15, 0 0 4
50.63, 13, 4 0 0
52.39, 24, 2 2 4
60.59, 31, 4 2 2
63.69, 13, 2 0 6
64.70, 13, 4 0 4
82.80, 7, 6 0 2
85.56, 12, 4 2 6

Cell and atoms:
```
data_Nd2Bi5Pb
_symmetry_space_group_name_H-M 'P 1'
_symmetry_Int_Tables_number 1
_cell_length_a 7.2111
_cell_length_b 7.2111
_cell_length_c 9.5886
_cell_angle_alpha 90.00
_cell_angle_beta 90.00
_cell_angle_gamma 90.00
loop_
_symmetry_equiv_pos_as_xyz
'x,y,z'
loop_
_atom_site_label
_atom_site_type_symbol
_atom_site_fract_x
_atom_site_fract_y
_atom_site_fract_z
Nd1 Nd 0.0000 0.5000 0.0000
Nd2 Nd 0.0000 0.5000 0.5000
Nd3 Nd 0.5000 0.0000 0.0000
Nd4 Nd 0.5000 0.0000 0.5000
Bi1 Bi 0.0000 0.0000 0.0000
Bi2 Bi 0.2500 0.2500 0.2500
Bi3 Bi 0.2500 0.2500 0.7500
Bi4 Bi 0.2500 0.7500 0.2500
Bi5 Bi 0.2500 0.7500 0.7500
Bi6 Bi 0.5000 0.5000 0.5000
Bi7 Bi 0.7500 0.2500 0.2500
Bi8 Bi 0.7500 0.2500 0.7500
Bi9 Bi 0.7500 0.7500 0.2500
Bi10 Bi 0.7500 0.7500 0.7500
Pb1 Pb 0.0000 0.0000 0.5000
Pb2 Pb 0.5000 0.5000 0.0000
```

2.
Calculated powder diffraction line list
Compound: KTl6In4
Radiation: CuKα
Structure: the PBE geometry in Alexandria
Intensities are scaled so that the largest is 100.

Largest 10 diffraction maxima, sorted by position, 2θ = 15–90°:
Position (°2θ), intensity, (hkl)
28.98, 100, 2 0 1
29.75, 30, 2 1 0
33.84, 21, 3 0 0
35.09, 83, 2 1 1
36.85, 29, 0 0 2
38.66, 15, 3 0 1
39.27, 23, 2 2 0
48.06, 16, 2 1 2
54.95, 17, 2 2 2
61.35, 26, 5 0 1

Cell and atoms:
```
data_KTl6In4
_symmetry_space_group_name_H-M 'P 1'
_symmetry_Int_Tables_number 1
_cell_length_a 9.1760
_cell_length_b 9.1760
_cell_length_c 4.8778
_cell_angle_alpha 90.00
_cell_angle_beta 90.00
_cell_angle_gamma 120.00
loop_
_symmetry_equiv_pos_as_xyz
'x,y,z'
loop_
_atom_site_label
_atom_site_type_symbol
_atom_site_fract_x
_atom_site_fract_y
_atom_site_fract_z
K1 K 0.0000 0.0000 0.0000
Tl1 Tl 0.1975 0.3950 0.5000
Tl2 Tl 0.1975 0.8025 0.5000
Tl3 Tl 0.5330 0.0661 0.0000
Tl4 Tl 0.5330 0.4670 0.0000
Tl5 Tl 0.6050 0.8025 0.5000
Tl6 Tl 0.9339 0.4670 0.0000
In1 In 0.3333 0.6667 0.0000
In2 In 0.4188 0.2094 0.5000
In3 In 0.7906 0.2094 0.5000
In4 In 0.7906 0.5812 0.5000
```

3.
Calculated powder diffraction line list
Compound: AcLa2Pm4
Radiation: CuKα
Structure: the PBE geometry in Alexandria
Intensities are scaled so that the largest is 100.

Largest 10 diffraction maxima, sorted by position, 2θ = 15–90°:
Position (°2θ), intensity, (hkl)
27.84, 12, 1 0 -3
29.17, 18, 1 1 3
30.59, 100, 0 2 -2
30.85, 57, 2 0 2
31.30, 36, 2 2 0
32.17, 14, 2 -1 0
32.94, 26, 0 0 4
46.07, 18, 2 2 -4
46.74, 13, 1 -1 5
55.12, 15, 2 4 -2

Cell and atoms:
```
data_AcLa2Pm4
_symmetry_space_group_name_H-M 'P 1'
_symmetry_Int_Tables_number 1
_cell_length_a 7.1247
_cell_length_b 7.2012
_cell_length_c 10.8773
_cell_angle_alpha 89.99
_cell_angle_beta 89.99
_cell_angle_gamma 74.11
loop_
_symmetry_equiv_pos_as_xyz
'x,y,z'
loop_
_atom_site_label
_atom_site_type_symbol
_atom_site_fract_x
_atom_site_fract_y
_atom_site_fract_z
Ac1 Ac 0.0000 0.0000 0.0000
Ac2 Ac 0.0000 0.5000 0.0000
La1 La 0.0000 0.0000 0.5000
La2 La 0.5000 0.0000 0.0000
La3 La 0.5000 0.0000 0.5000
La4 La 0.5000 0.5000 0.5000
Pm1 Pm 0.1845 0.2741 0.2891
Pm2 Pm 0.1860 0.2714 0.7120
Pm3 Pm 0.3163 0.7344 0.2261
Pm4 Pm 0.3177 0.7319 0.7748
Pm5 Pm 0.6823 0.2681 0.2252
Pm6 Pm 0.6837 0.2656 0.7739
Pm7 Pm 0.8140 0.7286 0.2880
Pm8 Pm 0.8155 0.7259 0.7109
```

4.
Calculated powder diffraction line list
Compound: TaTePbO6
Radiation: CuKα
Structure: the PBE geometry in Alexandria
Intensities are scaled so that the largest is 100.

Largest 10 diffraction maxima, sorted by position, 2θ = 15–90°:
Position (°2θ), intensity, (hkl)
25.02, 100, 1 0 2
32.66, 42, 1 1 0
33.33, 11, 0 0 4
41.58, 25, 2 0 2
47.36, 42, 1 1 4
53.85, 25, 2 1 2
54.75, 11, 1 0 6
58.29, 12, 3 0 0
68.83, 10, 3 0 4
74.11, 10, 4 -1 2

Cell and atoms:
```
data_TaTePbO6
_symmetry_space_group_name_H-M 'P 1'
_symmetry_Int_Tables_number 1
_cell_length_a 5.4837
_cell_length_b 5.4837
_cell_length_c 10.7518
_cell_angle_alpha 90.00
_cell_angle_beta 90.00
_cell_angle_gamma 120.00
loop_
_symmetry_equiv_pos_as_xyz
'x,y,z'
loop_
_atom_site_label
_atom_site_type_symbol
_atom_site_fract_x
_atom_site_fract_y
_atom_site_fract_z
Ta1 Ta 0.3333 0.6667 0.2500
Ta2 Ta 0.6667 0.3333 0.7500
Te1 Te 0.3333 0.6667 0.7500
Te2 Te 0.6667 0.3333 0.2500
Pb1 Pb 0.0000 0.0000 0.0000
Pb2 Pb 0.0000 0.0000 0.5000
O1 O 0.0062 0.3887 0.1454
O2 O 0.0062 0.6175 0.3546
O3 O 0.3825 0.3887 0.3546
O4 O 0.3825 0.9938 0.1454
O5 O 0.3887 0.0062 0.6454
O6 O 0.3887 0.3825 0.8546
O7 O 0.6113 0.6175 0.1454
O8 O 0.6113 0.9938 0.3546
O9 O 0.6175 0.0062 0.8546
O10 O 0.6175 0.6113 0.6454
O11 O 0.9938 0.3825 0.6454
O12 O 0.9938 0.6113 0.8546
```